# 1
Starting from a cell relaxed with PBE, the powder X-ray diffraction pattern of Li3Ru5 was simulated for Cu Kα.
Lines closer than 0.1° are merged.

Most intense lines, 10 to 90 degrees two-theta, by angle:
2θ (°)  I (rel.)
25.33  39
29.33  48
31.69  56
39.13  70
40.89  64
43.72  100
46.22  59
66.20  27
70.91  30
74.02  25

Structure:
abc: 7.0327 7.0327 4.7362
angles: 90.00 90.00 120.00
Space group P6_3/mcm (No. 193)
Inequivalent atoms, fractional coordinates:
Li: 0.0000 0.4025 0.2500 [6 per cell]
Ru: 0.0000 0.2220 0.7500 [6 per cell]
Ru: 0.3333 0.6667 0.0000 [4 per cell]


# 2
Starting from a cell relaxed with PBE, the powder X-ray diffraction pattern of Na8B11C5 was simulated for Cu Kα.
Lines closer than 0.1° are merged.

Most intense lines, 10 to 90 degrees two-theta, by angle:
2θ (°)  I (rel.)
34.86  11
36.42  17
40.89  50
42.15  38
42.26  100
56.90  9
63.52  18
77.12  13
79.21  17
81.13  10

Structure:
abc: 34.688 2.811 5.148
angles: 90.00 98.53 90.00
Space group Cm (No. 8)
Inequivalent atoms, fractional coordinates:
Na: 0.000 0.000 0.000 [2 per cell]
Na: 0.000 0.500 0.498 [2 per cell]
Na: 0.122 0.000 0.122 [2 per cell]
Na: 0.123 0.500 0.621 [2 per cell]
Na: 0.248 0.000 0.249 [2 per cell]
Na: 0.248 0.500 0.749 [2 per cell]
Na: 0.374 0.000 0.373 [2 per cell]
Na: 0.374 0.500 0.876 [2 per cell]
B: 0.061 0.000 0.733 [2 per cell]
B: 0.061 0.500 0.232 [2 per cell]
B: 0.185 0.000 0.506 [2 per cell]
B: 0.185 0.000 0.838 [2 per cell]
B: 0.185 0.500 0.048 [2 per cell]
B: 0.311 0.000 0.659 [2 per cell]
B: 0.311 0.000 0.991 [2 per cell]
B: 0.311 0.500 0.449 [2 per cell]
B: 0.437 0.000 0.800 [2 per cell]
B: 0.437 0.500 0.258 [2 per cell]
B: 0.437 0.500 0.589 [2 per cell]
C: 0.061 0.000 0.396 [2 per cell]
C: 0.061 0.500 0.896 [2 per cell]
C: 0.185 0.500 0.349 [2 per cell]
C: 0.311 0.500 0.148 [2 per cell]
C: 0.437 0.000 0.101 [2 per cell]


Repeat the first record exactly.
Starting from a cell relaxed with PBE, the powder X-ray diffraction pattern of Li3Ru5 was simulated for Cu Kα.
Lines closer than 0.1° are merged.

Most intense lines, 10 to 90 degrees two-theta, by angle:
2θ (°)  I (rel.)
25.33  39
29.33  48
31.69  56
39.13  70
40.89  64
43.72  100
46.22  59
66.20  27
70.91  30
74.02  25

Structure:
abc: 7.0327 7.0327 4.7362
angles: 90.00 90.00 120.00
Space group P6_3/mcm (No. 193)
Inequivalent atoms, fractional coordinates:
Li: 0.0000 0.4025 0.2500 [6 per cell]
Ru: 0.0000 0.2220 0.7500 [6 per cell]
Ru: 0.3333 0.6667 0.0000 [4 per cell]